Structure and calculated XRD peak list of Tb2Tm5Ni4 (a cell relaxed with PBE; a wavelength of 1.5418 Å).
Neutral-atom scattering factors, no anomalous dispersion.

Peak list (10 most intense, 2θ = 15–90°, most intense first)
hkl 5 1 0, 2θ = 32.33°, I 100
hkl 3 1 -2, 2θ = 38.34°, I 74
hkl 2 0 2, 2θ = 29.10°, I 72
hkl 3 1 1, 2θ = 31.78°, I 62
hkl 8 0 1, 2θ = 36.28°, I 46
hkl 6 0 -2, 2θ = 34.22°, I 46
hkl 0 2 0, 2θ = 51.90°, I 41
hkl 1 1 -1, 2θ = 28.80°, I 40
hkl 9 1 -1, 2θ = 45.49°, I 39
hkl 8 0 0, 2θ = 31.99°, I 36

```
data_Tb2Tm5Ni4
_chemical_formula_sum 'Tb4 Tm10 Ni8'
_cell_length_a 22.525
_cell_length_b 3.524
_cell_length_c 6.632
_cell_angle_alpha 90.00
_cell_angle_beta 96.49
_cell_angle_gamma 90.00
_space_group_name_H-M_alt 'C 1 2/m 1'
_space_group_IT_number 12
_space_group_name_Hall '-C 2y'
loop_
_atom_site_label
_atom_site_fract_x
_atom_site_fract_y
_atom_site_fract_z
Tb1 0.229 0.000 0.257
Tm1 0.000 0.000 0.000
Tm2 0.101 0.500 0.397
Tm3 0.128 0.500 0.891
Ni1 0.019 0.500 0.688
Ni2 0.177 0.000 0.638
```